Entry 1:
Calculated powder diffraction line list of Pm12SmTl3 for λ = 1.5418 Å (Cu Kα), from a crystal structure in Alexandria, relaxed with PBE.
Peak positions follow from Bragg's law for the DFT cell and can differ from measured ones.

The 6 most intense peaks (15 to 90 degrees two-theta), by angle:
2theta	I/Imax	h k l
30.90	100	1 1 4
35.22	17	0 0 8
36.12	33	2 0 0
51.34	23	2 0 8
60.53	13	1 1 12
61.73	28	3 1 4

Atomic structure:
```
data_Pm12SmTl3
_space_group_name_H-M_alt 'P 4/m m m'
_space_group_IT_number 123
_space_group_name_Hall '-P 4 2'
_cell_length_a 4.9730
_cell_length_b 4.9730
_cell_length_c 20.3845
_cell_angle_alpha 90.00
_cell_angle_beta 90.00
_cell_angle_gamma 90.00
loop_
_atom_site_label
_atom_site_fract_x
_atom_site_fract_y
_atom_site_fract_z
_atom_site_occupancy
Pm1 0.0000 0.0000 0.0000 1
Pm2 0.0000 0.0000 0.2446 1
Pm3 0.0000 0.0000 0.5000 1
Pm4 0.0000 0.5000 0.1226 1
Pm5 0.0000 0.5000 0.3685 1
Sm1 0.5000 0.5000 0.5000 1
Tl1 0.5000 0.5000 0.0000 1
Tl2 0.5000 0.5000 0.2431 1
```

=====

Entry 2:
Calculated powder diffraction line list of Pm2Sm2Tl5 for λ = 1.5418 Å (Cu Kα), from a crystal structure in Alexandria, relaxed with PBE.
Peak positions follow from Bragg's law for the DFT cell and can differ from measured ones.

The 6 most intense peaks (15 to 90 degrees two-theta), by angle:
2theta	I/Imax	h k l
27.24	38	1 4 1
29.65	39	0 5 1
30.71	100	2 0 2
36.70	29	0 0 4
38.88	48	2 5 1
39.65	27	0 5 3

Atomic structure:
```
data_Pm2Sm2Tl5
_space_group_name_H-M_alt 'I m m a'
_space_group_IT_number 74
_space_group_name_Hall '-I 2b 2'
_cell_length_a 7.2411
_cell_length_b 15.8349
_cell_length_c 9.7950
_cell_angle_alpha 90.00
_cell_angle_beta 90.00
_cell_angle_gamma 90.00
loop_
_atom_site_label
_atom_site_fract_x
_atom_site_fract_y
_atom_site_fract_z
_atom_site_occupancy
Pm1 0.0000 0.1309 0.0201 1
Sm1 0.0000 0.0000 0.5000 1
Sm2 0.0000 0.2500 0.5256 1
Tl1 0.2500 0.0490 0.2500 1
Tl2 0.2500 0.1476 0.7500 1
Tl3 0.2500 0.2500 0.2500 1
```

=====

Entry 3:
Calculated powder diffraction line list of Pm5SmTl for λ = 1.5418 Å (Cu Kα), from a crystal structure in Alexandria, relaxed with PBE.
Peak positions follow from Bragg's law for the DFT cell and can differ from measured ones.

The 6 most intense peaks (15 to 90 degrees two-theta), by angle:
2theta	I/Imax	h k l
31.30	100	1 1 2
33.94	20	0 0 4
37.43	31	2 0 0
51.42	25	2 0 4
59.09	16	1 1 6
63.73	26	3 1 2

Atomic structure:
```
data_Pm5SmTl
_space_group_name_H-M_alt 'P 4/m m m'
_space_group_IT_number 123
_space_group_name_Hall '-P 4 2'
_cell_length_a 4.8049
_cell_length_b 4.8049
_cell_length_c 10.5646
_cell_angle_alpha 90.00
_cell_angle_beta 90.00
_cell_angle_gamma 90.00
loop_
_atom_site_label
_atom_site_fract_x
_atom_site_fract_y
_atom_site_fract_z
_atom_site_occupancy
Pm1 0.0000 0.0000 0.0000 1
Pm2 0.0000 0.5000 0.2415 1
Sm1 0.5000 0.5000 0.5000 1
Tl1 0.5000 0.5000 0.0000 1
```

=====

Entry 4:
Calculated powder diffraction line list of Pm7Sm2Tl2 for λ = 1.5418 Å (Cu Kα), from a crystal structure in Alexandria, relaxed with PBE.
Peak positions follow from Bragg's law for the DFT cell and can differ from measured ones.

The 6 most intense peaks (15 to 90 degrees two-theta), by angle:
2theta	I/Imax	h k l
30.02	57	0 3 3
30.41	35	1 1 2
31.18	100	1 4 1
32.91	28	1 3 2
35.27	24	0 8 0
55.48	24	0 0 6

Atomic structure:
```
data_Pm7Sm2Tl2
_space_group_name_H-M_alt 'I m m 2'
_space_group_IT_number 44
_space_group_name_Hall 'I 2 -2'
_cell_length_a 3.7067
_cell_length_b 20.3584
_cell_length_c 9.9369
_cell_angle_alpha 90.00
_cell_angle_beta 90.00
_cell_angle_gamma 90.00
loop_
_atom_site_label
_atom_site_fract_x
_atom_site_fract_y
_atom_site_fract_z
_atom_site_occupancy
Pm1 0.0000 0.0000 0.0000 1
Pm2 0.0000 0.1294 0.4683 1
Pm3 0.0000 0.3380 0.6643 1
Pm4 0.0000 0.3638 0.2928 1
Sm1 0.0000 0.0000 0.6586 1
Sm2 0.0000 0.5000 0.8165 1
Tl1 0.0000 0.2450 0.9539 1
```

=====

Entry 5:
Calculated powder diffraction line list of Pm9Sm4Tl11 for λ = 1.5418 Å (Cu Kα), from a crystal structure in Alexandria, relaxed with PBE.
Peak positions follow from Bragg's law for the DFT cell and can differ from measured ones.

The 6 most intense peaks (15 to 90 degrees two-theta), by angle:
2theta	I/Imax	h k l
31.66	100	4 0 1
31.83	97	4 6 0
32.64	23	1 5 1
35.15	74	0 6 1
54.27	25	8 6 1
60.79	33	4 6 2

Atomic structure:
```
data_Pm9Sm4Tl11
_space_group_name_H-M_alt 'C m m m'
_space_group_IT_number 65
_space_group_name_Hall '-C 2 2'
_cell_length_a 18.0466
_cell_length_b 21.5680
_cell_length_c 3.6261
_cell_angle_alpha 90.00
_cell_angle_beta 90.00
_cell_angle_gamma 90.00
loop_
_atom_site_label
_atom_site_fract_x
_atom_site_fract_y
_atom_site_fract_z
_atom_site_occupancy
Pm1 0.0000 0.0000 0.0000 1
Pm2 0.1181 0.2390 0.0000 1
Pm3 0.1176 0.4110 0.0000 1
Sm1 0.1533 0.0833 0.0000 1
Tl1 0.0000 0.1373 0.5000 1
Tl2 0.0000 0.3259 0.5000 1
Tl3 0.0000 0.5000 0.5000 1
Tl4 0.2318 0.5000 0.5000 1
Tl5 0.2407 0.3256 0.5000 1
```

=====

Entry 6:
Calculated powder diffraction line list of Pm4SmTl5 for λ = 1.5418 Å (Cu Kα), from a crystal structure in Alexandria, relaxed with PBE.
Peak positions follow from Bragg's law for the DFT cell and can differ from measured ones.

The 6 most intense peaks (15 to 90 degrees two-theta), by angle:
2theta	I/Imax	h k l
32.61	100	1 0 5
32.81	49	1 1 0
47.08	18	2 0 0
58.07	20	1 1 10
58.45	38	2 1 5
68.32	12	2 0 10

Atomic structure:
```
data_Pm4SmTl5
_space_group_name_H-M_alt 'P 4/m m m'
_space_group_IT_number 123
_space_group_name_Hall '-P 4 2'
_cell_length_a 3.8604
_cell_length_b 3.8604
_cell_length_c 19.5330
_cell_angle_alpha 90.00
_cell_angle_beta 90.00
_cell_angle_gamma 90.00
loop_
_atom_site_label
_atom_site_fract_x
_atom_site_fract_y
_atom_site_fract_z
_atom_site_occupancy
Pm1 0.0000 0.0000 0.1001 1
Pm2 0.0000 0.0000 0.3007 1
Sm1 0.0000 0.0000 0.5000 1
Tl1 0.5000 0.5000 0.0000 1
Tl2 0.5000 0.5000 0.2004 1
Tl3 0.5000 0.5000 0.4011 1
```

=====

Entry 7:
Calculated powder diffraction line list of Pm3Sm3Tl4 for λ = 1.5418 Å (Cu Kα), from a crystal structure in Alexandria, relaxed with PBE.
Peak positions follow from Bragg's law for the DFT cell and can differ from measured ones.

The 6 most intense peaks (15 to 90 degrees two-theta), by angle:
2theta	I/Imax	h k l
29.12	19	1 2 2
31.10	100	1 1 3
34.21	38	0 4 2
39.54	18	2 0 0
53.26	22	2 4 2
63.84	14	1 3 7

Atomic structure:
```
data_Pm3Sm3Tl4
_space_group_name_H-M_alt 'A m m 2'
_space_group_IT_number 38
_space_group_name_Hall 'A 2 -2'
_cell_length_a 4.5587
_cell_length_b 11.7295
_cell_length_c 11.7114
_cell_angle_alpha 90.00
_cell_angle_beta 90.00
_cell_angle_gamma 90.00
loop_
_atom_site_label
_atom_site_fract_x
_atom_site_fract_y
_atom_site_fract_z
_atom_site_occupancy
Pm1 0.0000 0.0000 0.0000 1
Pm2 0.0000 0.1708 0.3299 1
Sm1 0.0000 0.0000 0.6588 1
Sm2 0.5000 0.2498 0.0796 1
Tl1 0.5000 0.0000 0.2002 1
Tl2 0.5000 0.0000 0.4602 1
Tl3 0.5000 0.1295 0.8292 1
```

=====

Entry 8:
Calculated powder diffraction line list of Pm3Sm2Tl4 for λ = 1.5418 Å (Cu Kα), from a crystal structure in Alexandria, relaxed with PBE.
Peak positions follow from Bragg's law for the DFT cell and can differ from measured ones.

The 6 most intense peaks (15 to 90 degrees two-theta), by angle:
2theta	I/Imax	h k l
29.87	20	0 2 3
30.47	100	2 0 2
31.79	57	1 5 1
37.19	19	0 0 4
38.00	18	2 4 2
47.51	19	3 5 1

Atomic structure:
```
data_Pm3Sm2Tl4
_space_group_name_H-M_alt 'C m c e'
_space_group_IT_number 64
_space_group_name_Hall '-C 2ac 2'
_cell_length_a 7.3816
_cell_length_b 16.0424
_cell_length_c 9.6707
_cell_angle_alpha 90.00
_cell_angle_beta 90.00
_cell_angle_gamma 90.00
loop_
_atom_site_label
_atom_site_fract_x
_atom_site_fract_y
_atom_site_fract_z
_atom_site_occupancy
Pm1 0.0000 0.0000 0.0000 1
Pm2 0.2500 0.2169 0.2500 1
Sm1 0.0000 0.1068 0.5627 1
Tl1 0.0000 0.1929 0.9710 1
Tl2 0.2500 0.0177 0.2500 1
```